Entry 1:
Computed X-ray powder pattern
Compound: Tm2In8Co
Radiation: copper Kα
Structure: a DFT-relaxed cell (PBE, the Materials Project)

The 12 most intense peaks (2θ = 10–90°), sorted by position:
d/Å  I/Imax  hkl
3.135  9  1 1 1
2.864  48  1 1 2
2.535  100  1 1 3
2.438  23  0 0 5
2.294  56  2 0 0
2.221  8  1 1 4
1.671  29  2 0 5
1.622  19  2 2 0
1.411  11  3 1 2
1.379  16  1 1 8
1.366  28  3 1 3
1.350  14  2 2 5

```
Tm2In8Co
1.0
4.5878 0.0000 0.0000
0.0000 4.5878 0.0000
0.0000 0.0000 12.1887
Tm In Co
2 8 1
direct
0.0000 0.0000 0.1925 Tm
0.0000 0.0000 0.8075 Tm
0.0000 0.5000 0.0000 In
0.0000 0.5000 0.3802 In
0.0000 0.5000 0.6198 In
0.5000 0.0000 0.0000 In
0.5000 0.0000 0.3802 In
0.5000 0.0000 0.6198 In
0.5000 0.5000 0.1961 In
0.5000 0.5000 0.8039 In
0.0000 0.0000 0.5000 Co
```


Entry 2:
Computed X-ray powder pattern
Compound: Rb2O
Radiation: copper Kα
Structure: a DFT-relaxed cell (PBE, the Materials Project)

The 12 most intense peaks (2θ = 10–90°), sorted by position:
d/Å  I/Imax  hkl
3.773  12  1 0 2
3.623  14  1 1 1
2.951  100  1 1 2
2.892  27  2 1 0
2.748  35  2 1 1
2.726  14  1 0 3
2.497  12  0 1 3
2.368  28  0 2 0
2.347  17  3 0 1
1.673  12  4 1 1
1.667  12  3 2 1
1.456  11  1 3 2

```
Rb2O
1.0
7.3036 0.0000 0.0000
0.0000 4.7364 0.0000
0.0000 0.0000 8.8139
Rb O
8 4
direct
0.0098 0.2500 0.1542 Rb
0.1350 0.2500 0.5889 Rb
0.3650 0.7500 0.0889 Rb
0.4902 0.7500 0.6542 Rb
0.5098 0.2500 0.3458 Rb
0.6350 0.2500 0.9111 Rb
0.8650 0.7500 0.4111 Rb
0.9902 0.7500 0.8458 Rb
0.2420 0.2500 0.9079 O
0.2580 0.7500 0.4079 O
0.7420 0.2500 0.5921 O
0.7580 0.7500 0.0921 O
```